ZnCrO4: theoretical XRD peak list (Cu Kα (weighted mean of Kα1 and Kα2)), based on a cell relaxed with PBE+U.
Peak positions follow from Bragg's law for the DFT cell and can differ from measured ones.

Atomic structure:
abc: 5.608 5.608 5.608
angles: 124.20 124.20 82.86
Atoms (fractional coordinates):
Zn (0.000, 0.000, 0.000)
Cr (0.750, 0.250, 0.500)
O (0.408, 0.261, 0.396)
O (0.739, 0.135, 0.147)
O (0.865, 0.012, 0.604)
O (0.988, 0.592, 0.853)

Main lines, by angle (10° ≤ 2θ ≤ 80°):
two_theta, intensity
19.94, 100
32.17, 41
39.88, 14
50.74, 15
56.06, 10
59.92, 10